Record 1
For Ca2ZnSn, DFT lattice parameters and positions (GGA-PBE) gives the calculated powder XRD pattern in this record (a wavelength of 1.5418 Å).
Neutral-atom scattering factors, no anomalous dispersion.

Structural model:
```
Ca2ZnSn
1.0
7.6025 0.0000 0.0000
0.0000 7.6025 0.0000
0.0000 0.0000 7.6025
Ca Zn Sn
8 4 4
direct
0.2500 0.2500 0.2500 Ca
0.2500 0.2500 0.7500 Ca
0.2500 0.7500 0.2500 Ca
0.2500 0.7500 0.7500 Ca
0.7500 0.2500 0.2500 Ca
0.7500 0.2500 0.7500 Ca
0.7500 0.7500 0.2500 Ca
0.7500 0.7500 0.7500 Ca
0.0000 0.0000 0.0000 Zn
0.0000 0.5000 0.5000 Zn
0.5000 0.0000 0.5000 Zn
0.5000 0.5000 0.0000 Zn
0.0000 0.0000 0.5000 Sn
0.0000 0.5000 0.0000 Sn
0.5000 0.0000 0.0000 Sn
0.5000 0.5000 0.5000 Sn
```

Top 10 peaks for 2θ from 10° to 90°, in order of rising 2θ:
| 2theta | I_rel |
| --- | --- |
| 20.23 | 7.0 |
| 23.40 | 17.5 |
| 33.33 | 100.0 |
| 41.13 | 6.0 |
| 47.86 | 17.7 |
| 53.94 | 8.6 |
| 59.57 | 35.9 |
| 70.01 | 11.0 |
| 74.95 | 4.4 |
| 79.78 | 15.2 |

=====

Record 2
For Pr6Fe13Au, DFT lattice parameters and positions (GGA-PBE) gives the calculated powder XRD pattern in this record (a wavelength of 1.5418 Å).
Neutral-atom scattering factors, no anomalous dispersion.

Structural model:
```
Pr6Fe13Au
1.0
-4.0281 4.0281 11.6620
4.0281 -4.0281 11.6620
4.0281 4.0281 -11.6620
Pr Fe Au
12 26 2
direct
0.0221 0.5221 0.1720 Pr
0.1066 0.1066 0.0000 Pr
0.1498 0.9779 0.5000 Pr
0.3502 0.8502 0.8280 Pr
0.3934 0.3934 0.0000 Pr
0.4779 0.6498 0.5000 Pr
0.5221 0.3502 0.5000 Pr
0.6066 0.6066 0.0000 Pr
0.6498 0.1498 0.1720 Pr
0.8502 0.0221 0.5000 Pr
0.8934 0.8934 0.0000 Pr
0.9779 0.4779 0.8280 Pr
0.0000 0.5000 0.5000 Fe
0.0196 0.2926 0.5000 Fe
0.0664 0.2096 0.2760 Fe
0.1201 0.6201 0.8575 Fe
0.2074 0.4804 0.5000 Fe
0.2096 0.9336 0.1432 Fe
0.2374 0.7374 0.8575 Fe
0.2626 0.1201 0.5000 Fe
0.2904 0.4336 0.7240 Fe
0.2926 0.7926 0.2730 Fe
0.3799 0.2374 0.5000 Fe
0.4336 0.7096 0.1432 Fe
0.4804 0.9804 0.2730 Fe
0.5000 0.0000 0.5000 Fe
0.5196 0.0196 0.7270 Fe
0.5664 0.2904 0.8568 Fe
0.6201 0.7626 0.5000 Fe
0.7074 0.2074 0.7270 Fe
0.7096 0.5664 0.2760 Fe
0.7374 0.8799 0.5000 Fe
0.7626 0.2626 0.1425 Fe
0.7904 0.0664 0.8568 Fe
0.7926 0.5196 0.5000 Fe
0.8799 0.3799 0.1425 Fe
0.9336 0.7904 0.7240 Fe
0.9804 0.7074 0.5000 Fe
0.2500 0.2500 0.0000 Au
0.7500 0.7500 0.0000 Au
```

Top 10 peaks for 2θ from 10° to 90°, in order of rising 2θ:
| 2theta | I_rel |
| --- | --- |
| 27.28 | 63.9 |
| 31.38 | 100.0 |
| 32.00 | 39.1 |
| 34.56 | 41.9 |
| 35.23 | 91.8 |
| 38.10 | 69.0 |
| 42.99 | 37.0 |
| 46.66 | 38.3 |
| 50.67 | 41.1 |
| 57.96 | 32.9 |